Th8Tl2Tc: theoretical XRD peak list (Cu Kα, 1.54184 Å), based on a crystal structure in Alexandria, relaxed with PBE.
Intensities are scaled so that the largest is 100.

Crystal structure
a b c (Å): 4.930 4.930 13.650
angles (deg): 90.00 90.00 90.00
Atoms (fractional coordinates):
Th (0.000, 0.000, 0.185)
Th (0.000, 0.000, 0.815)
Th (0.000, 0.500, 0.000)
Th (0.000, 0.500, 0.371)
Th (0.000, 0.500, 0.629)
Th (0.500, 0.000, 0.000)
Th (0.500, 0.000, 0.371)
Th (0.500, 0.000, 0.629)
Tl (0.500, 0.500, 0.183)
Tl (0.500, 0.500, 0.817)
Tc (0.500, 0.500, 0.500)

The 10 most intense peaks (2θ from 5° to 70°), sorted by position:
- d = 3.104 Å, I = 25
- d = 2.767 Å, I = 100
- d = 2.730 Å, I = 15
- d = 2.465 Å, I = 46
- d = 1.829 Å, I = 20
- d = 1.743 Å, I = 17
- d = 1.672 Å, I = 10
- d = 1.532 Å, I = 18
- d = 1.475 Å, I = 31
- d = 1.469 Å, I = 10